Record 1
Li5Mn2V3O10: theoretical powder diffractogram (copper Kα), based on a crystal structure in the Materials Project, relaxed with PBE+U.
Peak positions follow from Bragg's law for the DFT cell and can differ from measured ones.

The 6 most intense peaks (10° ≤ 2θ ≤ 80°), in order of rising 2θ:
h k l, 2theta, I_rel
0 1 0, 12.27, 45
1 -1 0, 18.21, 71
0 0 2, 18.36, 30
1 0 -2, 22.03, 21
2 1 -2, 40.85, 59
1 -2 4, 43.30, 100

Atomic structure:
Cell: 5.2739 7.8827 10.3437 Å, 103.47 101.24 106.16°
Space group P-1 (No. 2)
Asymmetric unit:
Li1 0.0004 0.0003 0.2502 [2 per cell]
Li2 0.2197 0.7354 0.3109 [2 per cell]
Li3 0.2202 0.7358 0.8115 [2 per cell]
Li4 0.4284 0.9199 0.1043 [2 per cell]
Li5 0.4297 0.9210 0.6046 [2 per cell]
Mn1 0.1970 0.1884 0.5475 [2 per cell]
Mn2 0.1968 0.1886 0.0475 [2 per cell]
V1 0.0000 0.5000 0.0000 [1 per cell]
V2 0.0000 0.5000 0.5000 [1 per cell]
V3 0.3979 0.3933 0.8448 [2 per cell]
V4 0.3993 0.3930 0.3454 [2 per cell]
O1 0.0412 0.2665 0.3829 [2 per cell]
O2 0.0419 0.2669 0.8830 [2 per cell]
O3 0.1990 0.9634 0.4325 [2 per cell]
O4 0.1990 0.9635 0.9325 [2 per cell]
O5 0.2229 0.4400 0.1629 [2 per cell]
O6 0.2229 0.4400 0.6628 [2 per cell]
O7 0.3713 0.6312 0.4746 [2 per cell]
O8 0.3726 0.6313 0.9747 [2 per cell]
O9 0.4041 0.1648 0.2212 [2 per cell]
O10 0.4059 0.1655 0.7210 [2 per cell]

***

Record 2
CaYMn2O6: theoretical powder diffractogram (copper Kα), based on a crystal structure in the Materials Project, relaxed with PBE+U.
Peak positions follow from Bragg's law for the DFT cell and can differ from measured ones.

The 6 most intense peaks (10° ≤ 2θ ≤ 80°), in order of rising 2θ:
h k l, 2theta, I_rel
0 2 0, 32.24, 22
2 1 1, 33.15, 100
0 0 2, 33.47, 24
0 2 2, 47.15, 29
4 0 0, 48.03, 18
2 1 3, 59.63, 25

Atomic structure:
Cell: 7.5773 5.5537 5.3547 Å, 90.00 90.00 90.00°
Space group Pmn2_1 (No. 31)
Asymmetric unit:
Ca1 0.0000 0.1970 0.0000 [2 per cell]
Y1 0.0000 0.6865 0.4725 [2 per cell]
Mn1 0.2499 0.2462 0.4882 [4 per cell]
O1 0.0000 0.2816 0.5744 [2 per cell]
O2 0.0000 0.7763 0.8880 [2 per cell]
O3 0.2002 0.9479 0.2915 [4 per cell]
O4 0.2034 0.4590 0.1967 [4 per cell]

***

Record 3
NdTiCrO5: theoretical powder diffractogram (copper Kα), based on a crystal structure in the Materials Project, relaxed with PBE+U.
Peak positions follow from Bragg's law for the DFT cell and can differ from measured ones.

The 6 most intense peaks (10° ≤ 2θ ≤ 80°), in order of rising 2θ:
h k l, 2theta, I_rel
0 0 1, 14.92, 30
1 2 1, 27.83, 59
2 1 1, 30.03, 100
1 3 0, 32.62, 30
1 1 2, 34.03, 21
2 1 2, 40.12, 23

Atomic structure:
Cell: 7.4644 8.8548 5.9394 Å, 90.00 90.00 90.00°
Space group Pbam (No. 55)
Asymmetric unit:
Nd1 0.1336 0.1708 0.0000 [4 per cell]
Ti1 0.0000 0.5000 0.2520 [4 per cell]
Cr1 0.0997 0.8547 0.5000 [4 per cell]
O1 0.0000 0.0000 0.2755 [4 per cell]
O2 0.1058 0.7038 0.2477 [8 per cell]
O3 0.1565 0.4286 0.5000 [4 per cell]
O4 0.1613 0.4456 0.0000 [4 per cell]

***

Record 4
LiVO2: theoretical powder diffractogram (copper Kα), based on a crystal structure in the Materials Project, relaxed with PBE+U.
Peak positions follow from Bragg's law for the DFT cell and can differ from measured ones.

The 6 most intense peaks (10° ≤ 2θ ≤ 80°), in order of rising 2θ:
h k l, 2theta, I_rel
0 0 1, 24.00, 100
3 1 0, 37.23, 17
4 0 0, 40.07, 38
0 2 0, 44.53, 56
0 2 1, 51.21, 21
4 2 0, 61.44, 35

Atomic structure:
Cell: 9.8764 4.0709 4.0675 Å, 90.00 114.31 90.00°
Space group Cm (No. 8)
Asymmetric unit:
Li1 0.0000 0.0000 0.0000 [2 per cell]
Li2 0.2478 0.0000 0.7510 [2 per cell]
V1 0.9996 0.5000 0.5003 [2 per cell]
V2 0.2498 0.5000 0.2522 [2 per cell]
O1 0.0141 0.5000 0.0149 [2 per cell]
O2 0.2354 0.5000 0.7379 [2 per cell]
O3 0.2638 0.0000 0.2665 [2 per cell]
O4 0.4857 0.5000 0.4863 [2 per cell]

***

Record 5
Li3CoO2F2: theoretical powder diffractogram (copper Kα), based on a crystal structure in the Materials Project, relaxed with PBE+U.
Peak positions follow from Bragg's law for the DFT cell and can differ from measured ones.

The 6 most intense peaks (10° ≤ 2θ ≤ 80°), in order of rising 2θ:
h k l, 2theta, I_rel
0 1 0, 15.06, 75
1 0 0, 18.53, 88
1 1 0, 23.97, 93
1 2 1, 43.39, 100
2 0 -2, 44.46, 47
1 2 -3, 63.87, 50

Atomic structure:
Cell: 5.0364 5.8841 5.0328 Å, 90.00 108.09 90.00°
Space group P2/c (No. 13)
Asymmetric unit:
Li1 0.0000 0.1191 0.2500 [2 per cell]
Li2 0.0000 0.3621 0.7500 [2 per cell]
Li3 0.5000 0.3717 0.2500 [2 per cell]
Co1 0.5000 0.1004 0.7500 [2 per cell]
O1 0.2701 0.1106 0.9878 [4 per cell]
F1 0.2507 0.3795 0.5027 [4 per cell]

***

Record 6
La7SmMn7CuO24: theoretical powder diffractogram (copper Kα), based on a crystal structure in the Materials Project, relaxed with PBE+U.
Peak positions follow from Bragg's law for the DFT cell and can differ from measured ones.

The 6 most intense peaks (10° ≤ 2θ ≤ 80°), in order of rising 2θ:
h k l, 2theta, I_rel
2 2 0, 32.23, 100
0 4 2, 39.74, 19
4 0 4, 46.22, 33
6 0 0, 57.46, 38
4 4 0, 67.43, 19
6 2 4, 76.72, 16

Atomic structure:
Cell: 11.1066 11.1066 13.6184 Å, 90.00 90.00 120.00°
Space group R3m (No. 160, hexagonal axes)
Asymmetric unit:
La1 0.0000 0.0000 0.0000 [3 per cell]
La2 0.0043 0.5022 0.9959 [9 per cell]
La3 0.1688 0.3376 0.8312 [9 per cell]
Sm1 0.0000 0.0000 0.4928 [3 per cell]
Mn1 0.0000 0.0000 0.7464 [3 per cell]
Mn2 0.0007 0.5003 0.2467 [9 per cell]
Mn3 0.1670 0.3340 0.0803 [9 per cell]
Cu1 0.0000 0.0000 0.2468 [3 per cell]
O1 0.9995 0.2479 0.4966 [18 per cell]
O2 0.0005 0.2505 0.9971 [18 per cell]
O3 0.0836 0.1672 0.6616 [9 per cell]
O4 0.0854 0.1707 0.1616 [9 per cell]
O5 0.1684 0.0842 0.8309 [9 per cell]
O6 0.1689 0.0845 0.3336 [9 per cell]